Entry 1:
Structure and theoretical XRD peak list of Zn2AgAu7 (a cell relaxed with PBE; Cu Kα).
Intensities are scaled so that the largest is 100.

Peak list (8 most intense, 2θ from 15° to 90°, low angle first)
23.19°, rel. 16.6; 31.36°, rel. 20.4; 35.12°, rel. 11.6; 39.37°, rel. 100.0; 44.94°, rel. 38.6; 65.44°, rel. 12.6; 67.39°, rel. 14.4; 79.12°, rel. 26.7

Structural model:
```
data_Zn2AgAu7
_cell_length_a 4.0338
_cell_length_b 4.0338
_cell_length_c 23.0090
_cell_angle_alpha 90.00
_cell_angle_beta 90.00
_cell_angle_gamma 90.00
_space_group_name_H-M_alt 'I 4/m m m'
_space_group_IT_number 139
_space_group_name_Hall '-I 4 2'
loop_
_atom_site_label
_atom_site_fract_x
_atom_site_fract_y
_atom_site_fract_z
_atom_site_occupancy
Zn1 0.0000 0.0000 0.1726 1
Ag1 0.0000 0.0000 0.5000 1
Au1 0.0000 0.0000 0.0000 1
Au2 0.0000 0.5000 0.0960 1
Au3 0.0000 0.5000 0.2500 1
```

***

Entry 2:
Structure and theoretical XRD peak list of ZnAg2Au2 (a cell relaxed with PBE; Cu Kα).
Intensities are scaled so that the largest is 100.

Peak list (8 most intense, 2θ from 15° to 90°, low angle first)
31.84°, rel. 29.7; 37.08°, rel. 96.2; 38.89°, rel. 100.0; 40.63°, rel. 44.9; 40.78°, rel. 71.1; 42.85°, rel. 38.2; 50.13°, rel. 24.8; 71.80°, rel. 26.0

Structural model:
```
data_ZnAg2Au2
_cell_length_a 4.4249
_cell_length_b 14.4906
_cell_length_c 5.5343
_cell_angle_alpha 90.00
_cell_angle_beta 90.00
_cell_angle_gamma 90.00
_space_group_name_H-M_alt 'C m c 21'
_space_group_IT_number 36
_space_group_name_Hall 'C 2c -2'
loop_
_atom_site_label
_atom_site_fract_x
_atom_site_fract_y
_atom_site_fract_z
_atom_site_occupancy
Zn1 0.0000 0.1014 0.0000 1
Ag1 0.0000 0.2843 0.2059 1
Ag2 0.0000 0.4755 0.2995 1
Au1 0.0000 0.0984 0.5101 1
Au2 0.0000 0.3349 0.7068 1
```

***

Entry 3:
Structure and theoretical XRD peak list of ZnAg5Au (a cell relaxed with PBE; Cu Kα).
Intensities are scaled so that the largest is 100.

Peak list (8 most intense, 2θ from 15° to 90°, low angle first)
37.80°, rel. 98.8; 38.06°, rel. 67.6; 38.29°, rel. 34.9; 38.64°, rel. 100.0; 39.56°, rel. 50.8; 41.45°, rel. 31.9; 41.98°, rel. 64.7; 42.26°, rel. 56.3

Structural model:
```
data_ZnAg5Au
_cell_length_a 5.0268
_cell_length_b 5.1705
_cell_length_c 10.1519
_cell_angle_alpha 79.67
_cell_angle_beta 78.23
_cell_angle_gamma 83.65
_space_group_name_H-M_alt 'P -1'
_space_group_IT_number 2
_space_group_name_Hall '-P 1'
loop_
_atom_site_label
_atom_site_fract_x
_atom_site_fract_y
_atom_site_fract_z
_atom_site_occupancy
Zn1 0.0000 0.0000 0.0000 1
Zn2 0.5000 0.0000 0.5000 1
Ag1 0.0622 0.7505 0.4768 1
Ag2 0.1284 0.9047 0.7354 1
Ag3 0.2792 0.4660 0.9334 1
Ag4 0.3986 0.4125 0.6463 1
Ag5 0.4328 0.0430 0.1423 1
Au1 0.1603 0.5633 0.2133 1
```

***

Entry 4:
Structure and theoretical XRD peak list of ZnAg3Au3 (a cell relaxed with PBE; Cu Kα).
Intensities are scaled so that the largest is 100.

Peak list (8 most intense, 2θ from 15° to 90°, low angle first)
35.63°, rel. 23.6; 37.67°, rel. 27.3; 40.48°, rel. 100.0; 52.82°, rel. 15.1; 64.00°, rel. 17.9; 69.90°, rel. 19.6; 76.71°, rel. 20.0; 78.53°, rel. 13.6

Structural model:
```
data_ZnAg3Au3
_cell_length_a 7.6974
_cell_length_b 7.6974
_cell_length_c 4.7757
_cell_angle_alpha 90.00
_cell_angle_beta 90.00
_cell_angle_gamma 120.00
_space_group_name_H-M_alt 'P 63/m'
_space_group_IT_number 176
_space_group_name_Hall '-P 6c'
loop_
_atom_site_label
_atom_site_fract_x
_atom_site_fract_y
_atom_site_fract_z
_atom_site_occupancy
Zn1 0.3333 0.6667 0.2500 1
Ag1 0.0984 0.6202 0.7500 1
Au1 0.0579 0.8089 0.2500 1
```